The following is a theoretical powder XRD pattern of Sm2Ga9Co3. It was derived from a DFT-relaxed cell (GGA-PBE, Alexandria), using Cu Kα.
No peak broadening, texture or thermal motion is included.

Largest 10 diffraction maxima, by angle, 2θ = 10–90°:
| 2theta | d_spacing | I (rel.) |
| --- | --- | --- |
| 37.29 | 2.411 | 100 |
| 37.81 | 2.380 | 18 |
| 38.28 | 2.351 | 14 |
| 42.12 | 2.145 | 46 |
| 42.35 | 2.134 | 23 |
| 47.15 | 1.927 | 9 |
| 57.64 | 1.599 | 10 |
| 73.72 | 1.285 | 11 |
| 73.87 | 1.283 | 11 |
| 74.13 | 1.279 | 11 |

Structural model:
Unit cell a=7.406 b=7.406 c=9.518 alpha=90.00 beta=90.00 gamma=60.33
Atoms (fractional coordinates):
Sm  0.003  0.669  0.750
Sm  0.331  0.997  0.750
Sm  0.669  0.003  0.250
Sm  0.997  0.331  0.250
Ga  0.002  0.666  0.071
Ga  0.002  0.666  0.429
Ga  0.124  0.876  0.250
Ga  0.334  0.998  0.071
Ga  0.334  0.998  0.429
Ga  0.335  0.665  0.555
Ga  0.335  0.665  0.945
Ga  0.337  0.451  0.250
Ga  0.451  0.337  0.750
Ga  0.549  0.663  0.250
Ga  0.663  0.549  0.750
Ga  0.665  0.335  0.055
Ga  0.665  0.335  0.445
Ga  0.666  0.002  0.571
Ga  0.666  0.002  0.929
Ga  0.876  0.124  0.750
Ga  0.998  0.334  0.571
Ga  0.998  0.334  0.929
Co  0.000  0.000  0.000
Co  0.000  0.000  0.500
Co  0.330  0.330  0.000
Co  0.330  0.330  0.500
Co  0.670  0.670  0.000
Co  0.670  0.670  0.500

=====

The following is a theoretical powder XRD pattern of Ce3Zn9Os2. It was derived from a DFT-relaxed cell (GGA-PBE, Alexandria), using Cu Kα.
No peak broadening, texture or thermal motion is included.

Largest 10 diffraction maxima, by angle, 2θ = 10–90°:
| 2theta | d_spacing | I (rel.) |
| --- | --- | --- |
| 11.92 | 7.426 | 28 |
| 21.88 | 4.063 | 28 |
| 35.60 | 2.522 | 100 |
| 36.29 | 2.475 | 49 |
| 37.43 | 2.403 | 42 |
| 37.90 | 2.374 | 52 |
| 40.12 | 2.248 | 60 |
| 43.79 | 2.067 | 41 |
| 55.20 | 1.664 | 29 |
| 71.36 | 1.322 | 31 |

Structural model:
Unit cell a=7.943 b=7.943 c=7.943 alpha=147.12 beta=106.59 gamma=82.80
Atoms (fractional coordinates):
Ce  0.000  0.000  0.000
Ce  0.301  0.301  0.000
Ce  0.699  0.699  0.000
Zn  0.011  0.653  0.358
Zn  0.156  0.875  0.282
Zn  0.295  0.653  0.642
Zn  0.407  0.125  0.282
Zn  0.500  0.000  0.500
Zn  0.593  0.875  0.718
Zn  0.705  0.347  0.358
Zn  0.844  0.125  0.718
Zn  0.989  0.347  0.642
Os  0.343  0.500  0.843
Os  0.657  0.500  0.157

=====

The following is a theoretical powder XRD pattern of U3SeS2. It was derived from a DFT-relaxed cell (GGA-PBE, Alexandria), using Cu Kα.
No peak broadening, texture or thermal motion is included.

Largest 10 diffraction maxima, by angle, 2θ = 10–90°:
| 2theta | d_spacing | I (rel.) |
| --- | --- | --- |
| 27.50 | 3.244 | 42 |
| 27.84 | 3.205 | 20 |
| 28.47 | 3.135 | 18 |
| 32.24 | 2.776 | 100 |
| 45.37 | 1.999 | 13 |
| 45.83 | 1.980 | 26 |
| 46.66 | 1.947 | 23 |
| 56.76 | 1.622 | 13 |
| 67.47 | 1.388 | 12 |
| 76.15 | 1.250 | 12 |

Structural model:
Unit cell a=6.866 b=6.866 c=6.837 alpha=99.75 beta=99.75 gamma=121.71
Atoms (fractional coordinates):
U  0.000  0.500  0.000
U  0.142  0.319  0.493
U  0.319  0.142  0.993
U  0.500  0.000  0.500
U  0.681  0.858  0.007
U  0.858  0.681  0.507
Se  0.424  0.576  0.250
Se  0.576  0.424  0.750
S  0.085  0.915  0.250
S  0.258  0.742  0.750
S  0.742  0.258  0.250
S  0.915  0.085  0.750